# 1
Diffraction record for BaThSeS2. The powder diffractogram is theoretical, not measured: it uses DFT lattice parameters and positions (GGA-PBE) and a wavelength of 1.5418 Å.
Kinematic intensities with the Lorentz-polarization factor, no thermal factor.

Structural model:
a = 7.7727 Å, b = 7.7727 Å, c = 7.7727 Å
α = 123.31°, β = 123.31°, γ = 84.35°
Positions (direct):
Ba 0.2500 0.7500 0.5000
Ba 0.7500 0.2500 0.5000
Th 0.0000 0.0000 0.0000
Th 0.5000 0.5000 0.0000
Se 0.2500 0.2500 0.0000
Se 0.7500 0.7500 0.0000
S 0.1674 0.6674 0.8348
S 0.3326 0.1674 0.5000
S 0.6674 0.8326 0.5000
S 0.8326 0.3326 0.1652

Top 12 peaks for 10 to 80 degrees two-theta, most intense first:
d/Å  Position (°2θ)  Rel. int.
3.690  24.1  100
3.867  23.0  92
2.163  41.8  56
2.270  39.7  55
2.609  34.4  52
1.934  47.0  43
2.880  31.1  42
5.219  17.0  33
1.432  65.1  33
1.650  55.7  26
1.554  59.5  17
1.483  62.7  17

***

# 2
Diffraction record for Pm14YSc. The powder diffractogram is theoretical, not measured: it uses DFT lattice parameters and positions (GGA-PBE) and a wavelength of 1.5418 Å.
Kinematic intensities with the Lorentz-polarization factor, no thermal factor.

Structural model:
a = 7.2546 Å, b = 7.2546 Å, c = 10.2127 Å
α = 90.00°, β = 90.00°, γ = 90.05°
Positions (direct):
Pm 0.0000 0.0000 0.0000
Pm 0.0000 0.5000 0.0000
Pm 0.0000 0.5000 0.5000
Pm 0.2477 0.2477 0.2539
Pm 0.2477 0.2477 0.7461
Pm 0.2476 0.7524 0.2540
Pm 0.2476 0.7524 0.7460
Pm 0.5000 0.0000 0.0000
Pm 0.5000 0.0000 0.5000
Pm 0.5000 0.5000 0.0000
Pm 0.7524 0.2476 0.2540
Pm 0.7524 0.2476 0.7460
Pm 0.7523 0.7523 0.2539
Pm 0.7523 0.7523 0.7461
Y 0.5000 0.5000 0.5000
Sc 0.0000 0.0000 0.5000

Top 12 peaks for 10 to 80 degrees two-theta, most intense first:
d/Å  Position (°2θ)  Rel. int.
2.957  30.2  100
2.565  35.0  34
1.546  59.8  29
1.809  50.4  24
2.553  35.1  17
1.541  60.0  14
1.479  62.9  12
1.814  50.3  12
1.282  73.9  4
1.277  74.3  2
4.584  19.4  1
5.122  17.3  1

***

# 3
Diffraction record for Th6ZnAg. The powder diffractogram is theoretical, not measured: it uses DFT lattice parameters and positions (GGA-PBE) and a wavelength of 1.5418 Å.
Kinematic intensities with the Lorentz-polarization factor, no thermal factor.

Structural model:
a = 9.4820 Å, b = 9.4820 Å, c = 9.4820 Å
α = 148.32°, β = 148.32°, γ = 45.41°
Positions (direct):
Th 0.1099 0.6099 0.5000
Th 0.2500 0.2500 0.0000
Th 0.3901 0.8901 0.5000
Th 0.6099 0.1099 0.5000
Th 0.7500 0.7500 0.0000
Th 0.8901 0.3901 0.5000
Zn 0.0000 0.0000 0.0000
Ag 0.5000 0.5000 0.0000

Top 12 peaks for 10 to 80 degrees two-theta, most intense first:
d/Å  Position (°2θ)  Rel. int.
2.807  31.9  100
2.588  34.7  44
1.533  60.4  33
1.670  55.0  17
1.830  49.8  16
3.376  26.4  14
2.187  41.3  10
1.403  66.6  9
1.936  46.9  9
1.578  58.5  9
2.916  30.7  7
1.294  73.1  5

***

# 4
Diffraction record for TbSm2YTm2. The powder diffractogram is theoretical, not measured: it uses DFT lattice parameters and positions (GGA-PBE) and a wavelength of 1.5418 Å.
Kinematic intensities with the Lorentz-polarization factor, no thermal factor.

Structural model:
a = 7.0334 Å, b = 9.7019 Å, c = 5.6162 Å
α = 90.00°, β = 90.00°, γ = 90.00°
Positions (direct):
Tb 0.0000 0.0000 0.0000
Tb 0.5000 0.5000 0.5000
Sm 0.2494 0.3332 0.0000
Sm 0.2506 0.8332 0.5000
Sm 0.7494 0.1668 0.5000
Sm 0.7506 0.6668 0.0000
Y 0.0000 0.5000 0.5000
Y 0.5000 0.0000 0.0000
Tm 0.2497 0.1665 0.5000
Tm 0.2503 0.6665 0.0000
Tm 0.7497 0.3335 0.0000
Tm 0.7503 0.8335 0.5000

Top 12 peaks for 10 to 80 degrees two-theta, most intense first:
d/Å  Position (°2θ)  Rel. int.
2.804  31.9  100
2.849  31.4  86
1.998  45.4  31
1.490  62.3  29
1.628  56.5  22
2.193  41.2  19
1.620  56.8  13
3.517  25.3  11
1.626  56.6  11
1.259  75.5  9
1.758  52.0  8
1.401  66.8  8